Structure and computed powder diffractogram of Nb8H (a crystal structure in Alexandria, relaxed with GGA-PBE; CuKα).
Intensities are scaled so that the largest is 100.

Atomic structure:
Lattice parameters (Å, degrees): 5.7847 5.7847 5.2556 90.00 90.00 120.00
Space group P-3m1 (No. 164)
One atom of each set of equivalent atoms:
Nb: 0.1691 0.3383 0.2465 x6
Nb: 0.3333 0.6667 0.7459 x2
H: 0.0000 0.0000 0.5000 x1

Principal peaks in the range 10° ≤ 2θ ≤ 90°, in order of falling intensity:
39.87 deg, I = 100
34.12 deg, I = 34
64.96 deg, I = 23
35.85 deg, I = 22
74.96 deg, I = 20
50.33 deg, I = 17
64.43 deg, I = 16
78.51 deg, I = 13